[1]
Structure and calculated X-ray diffraction stick pattern of Ta4FeP (a DFT-relaxed cell (PBE, the Materials Project); copper Kα).
Peak positions follow from Bragg's law for the DFT cell and can differ from measured ones.

Top 8 peaks for 2θ from 10° to 90°, by angle:
35.22 deg, I = 20; 37.35 deg, I = 100; 41.13 deg, I = 10; 46.41 deg, I = 16; 47.05 deg, I = 18; 64.61 deg, I = 20; 65.64 deg, I = 17; 75.92 deg, I = 14

Crystal structure
Cell: 6.1075 6.1075 5.0959 Å, 90.00 90.00 90.00°
Atoms (fractional coordinates):
Ta1 0.1575 0.3304 0.0000
Ta2 0.1575 0.6696 0.5000
Ta3 0.3304 0.1575 0.5000
Ta4 0.3304 0.8425 0.0000
Ta5 0.6696 0.1575 0.0000
Ta6 0.6696 0.8425 0.5000
Ta7 0.8425 0.3304 0.5000
Ta8 0.8425 0.6696 0.0000
Fe1 0.0000 0.0000 0.2500
Fe2 0.0000 0.0000 0.7500
P1 0.5000 0.5000 0.2500
P2 0.5000 0.5000 0.7500

=====

[2]
Structure and calculated X-ray diffraction stick pattern of La2Co5Ni5 (a DFT-relaxed cell (PBE, the Materials Project); copper Kα).
Peak positions follow from Bragg's law for the DFT cell and can differ from measured ones.

Top 8 peaks for 2θ from 10° to 90°, by angle:
30.54 deg, I = 47; 36.01 deg, I = 30; 41.83 deg, I = 37; 42.79 deg, I = 100; 45.58 deg, I = 27; 63.57 deg, I = 20; 69.37 deg, I = 15; 82.32 deg, I = 14

Crystal structure
Cell: 3.9804 4.9935 8.6283 Å, 90.00 90.00 90.00°
Atoms (fractional coordinates):
La1 0.0000 0.0000 0.0000
La2 0.0000 0.5000 0.5000
Co1 0.0000 0.0000 0.3331
Co2 0.0000 0.0000 0.6669
Co3 0.0000 0.5000 0.1653
Co4 0.0000 0.5000 0.8347
Co5 0.5000 0.5000 0.0000
Ni1 0.5000 0.0000 0.5000
Ni2 0.5000 0.2499 0.2500
Ni3 0.5000 0.2499 0.7500
Ni4 0.5000 0.7501 0.2500
Ni5 0.5000 0.7501 0.7500

=====

[3]
Structure and calculated X-ray diffraction stick pattern of Na4Si5Sn2O17 (a DFT-relaxed cell (PBE, the Materials Project); copper Kα).
Peak positions follow from Bragg's law for the DFT cell and can differ from measured ones.

Top 8 peaks for 2θ from 10° to 90°, by angle:
13.38 deg, I = 88; 17.89 deg, I = 48; 21.05 deg, I = 100; 22.97 deg, I = 64; 26.98 deg, I = 46; 27.88 deg, I = 37; 30.94 deg, I = 99; 33.99 deg, I = 48

Crystal structure
Cell: 10.8851 10.8851 13.9738 Å, 109.48 109.48 28.16°
Atoms (fractional coordinates):
Na1 0.0341 0.0341 0.1717
Na2 0.4218 0.5079 0.3278
Na3 0.4921 0.5782 0.6722
Na4 0.4963 0.0649 0.0851
Na5 0.5216 0.0406 0.5861
Na6 0.9351 0.5037 0.9149
Na7 0.9594 0.4784 0.4139
Na8 0.9659 0.9659 0.8283
Si1 0.0459 0.6105 0.2255
Si2 0.0666 0.5889 0.7258
Si3 0.1081 0.6576 0.0507
Si4 0.1128 0.6546 0.5519
Si5 0.3424 0.8919 0.9493
Si6 0.3454 0.8872 0.4481
Si7 0.3895 0.9541 0.7745
Si8 0.4111 0.9334 0.2742
Si9 0.4771 0.5229 0.0000
Si10 0.9754 0.0246 0.5000
Sn1 0.5695 0.1153 0.8888
Sn2 0.5751 0.1097 0.3873
Sn3 0.8847 0.4305 0.1112
Sn4 0.8903 0.4249 0.6127
O1 0.0680 0.2063 0.9759
O2 0.0705 0.4452 0.1399
O3 0.0818 0.6913 0.6707
O4 0.0960 0.2583 0.7491
O5 0.1313 0.7935 0.5578
O6 0.1478 0.6271 0.1711
O7 0.2026 0.1385 0.5229
O8 0.2055 0.0795 0.1735
O9 0.2065 0.8687 0.4422
O10 0.2473 0.6766 0.0576
O11 0.2514 0.4638 0.3267
O12 0.2548 0.4037 0.9769
O13 0.3087 0.9182 0.3293
O14 0.3234 0.7527 0.9424
O15 0.3605 0.2854 0.7516
O16 0.3729 0.8522 0.8289
O17 0.3863 0.3388 0.5241
O18 0.3867 0.0986 0.3603
O19 0.5362 0.7486 0.6733
O20 0.5548 0.9295 0.8601
O21 0.5950 0.2943 0.9167
O22 0.5963 0.7452 0.0231
O23 0.6192 0.2854 0.7124
O24 0.6612 0.6137 0.4759
O25 0.7057 0.4050 0.0833
O26 0.7146 0.3808 0.2876
O27 0.7146 0.6395 0.2484
O28 0.7417 0.9040 0.2509
O29 0.7494 0.1390 0.4163
O30 0.7937 0.9320 0.0241
O31 0.8610 0.2506 0.5837
O32 0.8615 0.7974 0.4771
O33 0.9014 0.6133 0.6397
O34 0.9205 0.7945 0.8265

=====

[4]
Structure and calculated X-ray diffraction stick pattern of NaMg14Sn (a DFT-relaxed cell (PBE, the Materials Project); copper Kα).
Peak positions follow from Bragg's law for the DFT cell and can differ from measured ones.

Top 8 peaks for 2θ from 10° to 90°, by angle:
15.99 deg, I = 26; 18.08 deg, I = 40; 23.29 deg, I = 22; 32.35 deg, I = 25; 34.02 deg, I = 40; 36.52 deg, I = 50; 36.68 deg, I = 100; 62.63 deg, I = 20

Crystal structure
Cell: 10.5406 6.4141 6.4141 Å, 59.65 90.00 90.00°
Atoms (fractional coordinates):
Na1 0.0000 0.0000 0.0000
Mg1 0.0000 0.0012 0.4980
Mg2 0.0000 0.4980 0.0012
Mg3 0.2500 0.6670 0.6670
Mg4 0.2534 0.1674 0.6646
Mg5 0.2534 0.6646 0.1674
Mg6 0.2544 0.1680 0.1680
Mg7 0.5000 0.9998 0.9998
Mg8 0.5000 0.4999 0.4999
Mg9 0.5000 0.5003 0.9993
Mg10 0.5000 0.9993 0.5003
Mg11 0.7456 0.1680 0.1680
Mg12 0.7466 0.1674 0.6646
Mg13 0.7466 0.6646 0.1674
Mg14 0.7500 0.6670 0.6670
Sn1 0.0000 0.4985 0.4985